# KCoC2O6
Simulated X-ray powder pattern, λ = 1.5418 Å (Cu Kα). Input: DFT lattice parameters and positions (GGA+U).
Intensities are scaled so that the largest is 100.

The 8 most intense peaks (10 to 90 degrees two-theta), in order of rising 2θ:
| 2theta | I/Imax | (hkl) |
| --- | --- | --- |
| 14.26 | 56.0 | 0 0 3 |
| 23.86 | 29.2 | 0 1 2 |
| 29.14 | 100.0 | 1 0 4 |
| 38.30 | 14.9 | 1 1 0 |
| 41.06 | 14.1 | 2 -1 3 |
| 44.84 | 15.2 | 0 1 8 |
| 45.62 | 13.9 | 2 0 2 |
| 48.59 | 33.1 | 2 -1 6 |

Crystal structure
```
data_KCoC2O6
_chemical_formula_sum 'K3 Co3 C6 O18'
_cell_length_a 4.7004
_cell_length_b 4.7004
_cell_length_c 18.6292
_cell_angle_alpha 90.00
_cell_angle_beta 90.00
_cell_angle_gamma 120.00
_symmetry_space_group_name_H-M 'R -3'
_symmetry_Int_Tables_number 148
_symmetry_space_group_name_Hall '-R 3'
loop_
_atom_site_label
_atom_site_type_symbol
_atom_site_fract_x
_atom_site_fract_y
_atom_site_fract_z
_atom_site_occupancy
K1 K 0.0000 0.0000 0.0000 1
Co1 Co 0.0000 0.0000 0.5000 1
C1 C 0.0000 0.0000 0.2235 1
O1 O 0.0391 0.4137 0.8931 1
```